The following is a computed powder X-ray diffraction pattern of Cr4Te9Rh2. It was derived from a crystal structure in Alexandria, relaxed with GGA-PBE, using λ = 1.5418 Å (Cu Kα).
No peak broadening, texture or thermal motion is included.

Cell: 6.8964 6.8964 17.8431 Å, 90.00 90.00 120.00°
Fractional coordinates of all 30 atoms:
Cr 0.3333 0.6667 0.0116
Cr 0.3333 0.6667 0.3207
Cr 0.3333 0.6667 0.5116
Cr 0.3333 0.6667 0.8207
Cr 0.6667 0.3333 0.1793
Cr 0.6667 0.3333 0.4884
Cr 0.6667 0.3333 0.6793
Cr 0.6667 0.3333 0.9884
Te 0.0000 0.3042 0.2500
Te 0.0000 0.6958 0.7500
Te 0.0186 0.3533 0.9158
Te 0.0186 0.6652 0.4158
Te 0.3042 0.0000 0.2500
Te 0.3042 0.3042 0.7500
Te 0.3348 0.3533 0.4158
Te 0.3348 0.9814 0.9158
Te 0.3533 0.0186 0.5842
Te 0.3533 0.3348 0.0842
Te 0.6467 0.6652 0.9158
Te 0.6467 0.9814 0.4158
Te 0.6652 0.0186 0.0842
Te 0.6652 0.6467 0.5842
Te 0.6958 0.0000 0.7500
Te 0.6958 0.6958 0.2500
Te 0.9814 0.3348 0.5842
Te 0.9814 0.6467 0.0842
Rh 0.0000 0.0000 0.1528
Rh 0.0000 0.0000 0.3472
Rh 0.0000 0.0000 0.6528
Rh 0.0000 0.0000 0.8472

Principal peaks in the range 10 to 90 degrees two-theta, most intense first:
Position (°2θ)	I/Imax	index
29.95	100	1 1 3
40.04	43	1 1 6
45.57	37	3 0 0
55.51	24	2 2 3
53.30	19	1 1 9
17.87	13	0 1 2
74.54	11	4 1 3
62.24	11	2 2 6
80.65	10	3 0 12
30.05	10	0 0 6
80.46	9	4 1 6
36.20	8	0 2 4